Calculated X-ray diffraction stick pattern of VPO5 for Cu Kα (λ = 1.5418 Å), from a structure optimized by DFT (GGA+U).

Structure:
Unit cell a=7.814 b=6.235 c=7.239 alpha=90.00 beta=90.00 gamma=90.00
Space group Pnma (No. 62)
Unique sites:
V (0.173, 0.250, 0.228)
P (0.122, 0.750, 0.113)
O (0.045, 0.250, 0.999)
O (0.129, 0.552, 0.240)
O (0.133, 0.750, 0.651)
O (0.219, 0.250, 0.482)

Main lines, by angle (10 to 90 degrees two-theta):
| two_theta | Rel. int. | h k l |
| --- | --- | --- |
| 16.69 | 37 | 1 0 1 |
| 18.78 | 38 | 0 1 1 |
| 25.91 | 100 | 2 0 1 |
| 27.15 | 26 | 1 0 2 |
| 28.63 | 63 | 0 2 0 |
| 29.67 | 21 | 2 1 1 |

Calculated X-ray diffraction stick pattern of Li9Mn2Co5O16 for Cu Kα (λ = 1.5418 Å), from a structure optimized by DFT (GGA+U).

Structure:
Unit cell a=5.156 b=5.892 c=10.498 alpha=74.09 beta=76.18 gamma=73.91
Space group P-1 (No. 2)
Unique sites:
Li (0.000, 0.000, 0.000)
Li (0.487, 0.178, 0.881)
Li (0.490, 0.693, 0.878)
Li (0.493, 0.945, 0.368)
Li (0.494, 0.445, 0.366)
Mn (0.000, 0.250, 0.500)
Co (0.000, 0.500, 0.000)
Co (0.003, 0.636, 0.236)
Co (0.012, 0.126, 0.233)
O (0.214, 0.917, 0.559)
O (0.216, 0.420, 0.559)
O (0.222, 0.285, 0.324)
O (0.223, 0.639, 0.066)
O (0.226, 0.781, 0.322)
O (0.234, 0.534, 0.819)
O (0.237, 0.042, 0.801)
O (0.246, 0.150, 0.072)

Main lines, by angle (10 to 90 degrees two-theta):
| two_theta | Rel. int. | h k l |
| --- | --- | --- |
| 18.19 | 100 | 1 0 0 |
| 35.66 | 14 | 0 2 -1 |
| 43.02 | 28 | 1 -2 1 |
| 43.49 | 27 | 2 2 3 |
| 43.71 | 26 | 1 0 -4 |
| 62.52 | 15 | 3 0 4 |